No. 1
Theoretical powder diffractogram
Compound: Ce3Ni2Au4
Radiation: λ = 1.5418 Å (Cu Kα)
Structure: a cell relaxed with GGA-PBE

Atomic structure:
Lattice parameters (Å, degrees): 5.4615 5.4615 9.2659 110.71 110.71 51.39
Element x y z (fractional)
Ce1 0.0000 0.0000 0.0000
Ce2 0.1452 0.1452 0.7046
Ce3 0.8548 0.8548 0.2954
Ni1 0.4054 0.4054 0.7071
Ni2 0.5946 0.5946 0.2929
Au1 0.2006 0.2006 0.3987
Au2 0.3350 0.3350 0.0675
Au3 0.6650 0.6650 0.9325
Au4 0.7994 0.7994 0.6013

The 10 most intense peaks (10 to 80 degrees two-theta), most intense first:
| two_theta | I/Imax |
| --- | --- |
| 34.76 | 100 |
| 40.20 | 86 |
| 34.56 | 69 |
| 38.00 | 64 |
| 22.35 | 29 |
| 31.49 | 28 |
| 19.61 | 28 |
| 41.50 | 28 |
| 54.29 | 26 |
| 36.94 | 26 |

No. 2
Theoretical powder diffractogram
Compound: LaY2RuO8
Radiation: λ = 1.5418 Å (Cu Kα)
Structure: a cell relaxed with GGA-PBE

Atomic structure:
Lattice parameters (Å, degrees): 5.0722 6.9457 5.0823 90.00 90.18 90.00
Element x y z (fractional)
La1 0.0000 0.0000 0.0000
Y1 0.5000 0.2514 0.5000
Y2 0.5000 0.7486 0.5000
Ru1 0.0000 0.5000 0.0000
O1 0.1861 0.3004 0.1845
O2 0.1861 0.6996 0.1845
O3 0.2668 0.5000 0.7319
O4 0.3148 0.0000 0.6828
O5 0.6852 0.0000 0.3172
O6 0.7332 0.5000 0.2681
O7 0.8139 0.3004 0.8155
O8 0.8139 0.6996 0.8155

The 10 most intense peaks (10 to 80 degrees two-theta), most intense first:
| two_theta | I/Imax |
| --- | --- |
| 24.80 | 100 |
| 31.20 | 83 |
| 47.84 | 50 |
| 35.36 | 21 |
| 47.93 | 17 |
| 59.10 | 17 |
| 60.84 | 10 |
| 60.95 | 10 |
| 50.78 | 9 |
| 65.08 | 9 |

No. 3
Theoretical powder diffractogram
Compound: PuMgCl6
Radiation: λ = 1.5418 Å (Cu Kα)
Structure: a cell relaxed with GGA-PBE

Atomic structure:
Lattice parameters (Å, degrees): 7.1235 7.1235 6.4202 97.80 97.80 126.51
Element x y z (fractional)
Pu1 0.0000 0.0000 0.0000
Mg1 0.5000 0.5000 0.5000
Cl1 0.1243 0.3962 0.2608
Cl2 0.2497 0.2497 0.7515
Cl3 0.3962 0.1243 0.2608
Cl4 0.6038 0.8757 0.7392
Cl5 0.7503 0.7503 0.2485
Cl6 0.8757 0.6038 0.7392

The 10 most intense peaks (10 to 80 degrees two-theta), most intense first:
| two_theta | I/Imax |
| --- | --- |
| 13.92 | 100 |
| 18.51 | 84 |
| 31.66 | 72 |
| 16.09 | 56 |
| 47.65 | 39 |
| 20.13 | 37 |
| 14.47 | 34 |
| 24.50 | 30 |
| 40.94 | 30 |
| 42.82 | 26 |

No. 4
Theoretical powder diffractogram
Compound: AcPrC3N6
Radiation: λ = 1.5418 Å (Cu Kα)
Structure: a cell relaxed with GGA-PBE

Atomic structure:
Lattice parameters (Å, degrees): 6.5257 6.5257 6.5257 65.03 65.03 65.03
Element x y z (fractional)
Ac1 0.0000 0.0000 0.0000
Pr1 0.3596 0.3596 0.3596
C1 0.2096 0.4428 0.8969
C2 0.4428 0.8969 0.2096
C3 0.8969 0.2096 0.4428
N1 0.0134 0.1929 0.5599
N2 0.1929 0.5599 0.0134
N3 0.2251 0.3229 0.7840
N4 0.3229 0.7840 0.2251
N5 0.5599 0.0134 0.1929
N6 0.7840 0.2251 0.3229

The 10 most intense peaks (10 to 80 degrees two-theta), most intense first:
| two_theta | I/Imax |
| --- | --- |
| 30.91 | 100 |
| 15.69 | 71 |
| 18.63 | 67 |
| 25.39 | 61 |
| 17.33 | 41 |
| 43.80 | 32 |
| 32.68 | 24 |
| 48.34 | 24 |
| 41.03 | 23 |
| 44.75 | 20 |

No. 5
Theoretical powder diffractogram
Compound: Li6CuS4
Radiation: λ = 1.5418 Å (Cu Kα)
Structure: a cell relaxed with GGA-PBE

Atomic structure:
Lattice parameters (Å, degrees): 7.9492 7.9492 5.7318 90.00 90.00 90.00
Element x y z (fractional)
Li1 0.0232 0.5232 0.2500
Li2 0.0232 0.9768 0.2500
Li3 0.2500 0.2500 0.2067
Li4 0.2500 0.2500 0.7067
Li5 0.4768 0.5232 0.2500
Li6 0.4768 0.9768 0.2500
Li7 0.5232 0.0232 0.7500
Li8 0.5232 0.4768 0.7500
Li9 0.7500 0.7500 0.2933
Li10 0.7500 0.7500 0.7933
Li11 0.9768 0.0232 0.7500
Li12 0.9768 0.4768 0.7500
Cu1 0.2500 0.7500 0.7500
Cu2 0.7500 0.2500 0.2500
S1 0.0037 0.2500 0.4584
S2 0.2500 0.0037 0.9584
S3 0.2500 0.4963 0.9584
S4 0.4963 0.2500 0.4584
S5 0.5037 0.7500 0.5416
S6 0.7500 0.5037 0.0416
S7 0.7500 0.9963 0.0416
S8 0.9963 0.7500 0.5416

The 10 most intense peaks (10 to 80 degrees two-theta), most intense first:
| two_theta | I/Imax |
| --- | --- |
| 27.31 | 100 |
| 19.09 | 97 |
| 45.19 | 60 |
| 45.65 | 34 |
| 15.77 | 31 |
| 29.57 | 27 |
| 54.01 | 24 |
| 37.39 | 23 |
| 54.53 | 21 |
| 22.37 | 17 |

No. 6
Theoretical powder diffractogram
Compound: Dy2Al7
Radiation: λ = 1.5418 Å (Cu Kα)
Structure: a cell relaxed with GGA-PBE

Atomic structure:
Lattice parameters (Å, degrees): 13.6828 13.6828 13.6828 23.24 23.24 23.24
Element x y z (fractional)
Dy1 0.0536 0.0536 0.0536
Dy2 0.1499 0.1499 0.1499
Dy3 0.8501 0.8501 0.8501
Dy4 0.9464 0.9464 0.9464
Al1 0.0000 0.5000 0.5000
Al2 0.1064 0.6132 0.6132
Al3 0.2786 0.2786 0.2786
Al4 0.3868 0.3868 0.8936
Al5 0.3868 0.8936 0.3868
Al6 0.3889 0.3889 0.3889
Al7 0.5000 0.0000 0.5000
Al8 0.5000 0.5000 0.0000
Al9 0.5000 0.5000 0.5000
Al10 0.6111 0.6111 0.6111
Al11 0.6132 0.1064 0.6132
Al12 0.6132 0.6132 0.1064
Al13 0.7214 0.7214 0.7214
Al14 0.8936 0.3868 0.3868

The 10 most intense peaks (10 to 80 degrees two-theta), most intense first:
| two_theta | I/Imax |
| --- | --- |
| 38.45 | 100 |
| 29.16 | 77 |
| 32.49 | 73 |
| 18.72 | 67 |
| 30.95 | 41 |
| 37.76 | 39 |
| 20.02 | 26 |
| 55.92 | 26 |
| 61.96 | 25 |
| 68.04 | 19 |

No. 7
Theoretical powder diffractogram
Compound: La4ThHg
Radiation: λ = 1.5418 Å (Cu Kα)
Structure: a cell relaxed with GGA-PBE

Atomic structure:
Lattice parameters (Å, degrees): 3.7039 3.7039 14.7305 90.00 90.00 90.00
Element x y z (fractional)
La1 0.0000 0.0000 0.1429
La2 0.0000 0.0000 0.8571
La3 0.5000 0.5000 0.3343
La4 0.5000 0.5000 0.6657
Th1 0.0000 0.0000 0.5000
Hg1 0.5000 0.5000 0.0000

The 10 most intense peaks (10 to 80 degrees two-theta), most intense first:
| two_theta | I/Imax |
| --- | --- |
| 30.22 | 100 |
| 34.24 | 38 |
| 58.84 | 31 |
| 50.99 | 20 |
| 49.20 | 14 |
| 36.60 | 13 |
| 12.02 | 12 |
| 62.86 | 11 |
| 61.99 | 9 |
| 39.07 | 7 |

No. 8
Theoretical powder diffractogram
Compound: Ho5Cd3
Radiation: λ = 1.5418 Å (Cu Kα)
Structure: a cell relaxed with GGA-PBE

Atomic structure:
Lattice parameters (Å, degrees): 3.6310 3.6310 16.6465 90.00 90.00 90.00
Element x y z (fractional)
Ho1 0.0000 0.0000 0.0000
Ho2 0.0000 0.0000 0.2349
Ho3 0.0000 0.0000 0.7651
Ho4 0.5000 0.5000 0.3802
Ho5 0.5000 0.5000 0.6198
Cd1 0.0000 0.0000 0.5000
Cd2 0.5000 0.5000 0.1161
Cd3 0.5000 0.5000 0.8839

The 10 most intense peaks (10 to 80 degrees two-theta), most intense first:
| two_theta | I/Imax |
| --- | --- |
| 32.73 | 100 |
| 34.95 | 44 |
| 61.28 | 33 |
| 56.96 | 18 |
| 50.25 | 16 |
| 68.60 | 10 |
| 43.49 | 10 |
| 73.01 | 6 |
| 73.81 | 5 |
| 26.78 | 3 |

No. 9
Theoretical powder diffractogram
Compound: Pr2Pa2Se7
Radiation: λ = 1.5418 Å (Cu Kα)
Structure: a cell relaxed with GGA-PBE

Atomic structure:
Lattice parameters (Å, degrees): 9.0564 9.0564 9.0564 153.95 67.37 119.10
Element x y z (fractional)
Pr1 0.0000 0.0000 0.0000
Pr2 0.5460 0.0460 0.5000
Pa1 0.0729 0.8125 0.2604
Pa2 0.5521 0.8125 0.7396
Se1 0.2319 0.7319 0.5000
Se2 0.2980 0.1126 0.1855
Se3 0.3499 0.4964 0.8536
Se4 0.6428 0.4964 0.1464
Se5 0.7088 0.3245 0.3843
Se6 0.9271 0.1126 0.8145
Se7 0.9402 0.3245 0.6157

The 10 most intense peaks (10 to 80 degrees two-theta), most intense first:
| two_theta | I/Imax |
| --- | --- |
| 33.81 | 100 |
| 38.67 | 59 |
| 22.68 | 48 |
| 34.37 | 32 |
| 40.96 | 28 |
| 44.38 | 26 |
| 26.66 | 25 |
| 23.85 | 24 |
| 29.87 | 23 |
| 61.95 | 22 |

No. 10
Theoretical powder diffractogram
Compound: Li2PaAuSe4
Radiation: λ = 1.5418 Å (Cu Kα)
Structure: a cell relaxed with GGA-PBE

Atomic structure:
Lattice parameters (Å, degrees): 6.8734 6.8734 6.8734 131.81 131.81 70.53
Element x y z (fractional)
Li1 0.0000 0.0000 0.0000
Li2 0.7500 0.2500 0.5000
Pa1 0.2500 0.7500 0.5000
Au1 0.5000 0.5000 0.0000
Se1 0.0031 0.5031 0.5000
Se2 0.2380 0.2380 0.0000
Se3 0.4969 0.9969 0.5000
Se4 0.7620 0.7620 0.0000

The 10 most intense peaks (10 to 80 degrees two-theta), most intense first:
| two_theta | I/Imax |
| --- | --- |
| 31.89 | 100 |
| 17.67 | 80 |
| 45.73 | 73 |
| 75.80 | 33 |
| 28.68 | 30 |
| 43.42 | 28 |
| 36.69 | 27 |
| 56.83 | 26 |
| 54.87 | 13 |
| 66.66 | 12 |